YMo3Se2ClO8: calculated powder XRD pattern (Cu Ka), based on a structure optimized by DFT (GGA+U).
Lines closer than 0.1° are merged.

Largest 10 diffraction maxima, by intensity, 10° ≤ 2θ ≤ 80°:
| hkl | d (Å) | Rel. int. |
| --- | --- | --- |
| 0 2 -2 | 2.838 | 100.0 |
| 0 2 2 | 3.076 | 82.8 |
| 2 -1 0 | 3.033 | 73.2 |
| 2 0 -2 | 2.859 | 67.3 |
| 1 0 -1 | 5.734 | 65.8 |
| 1 0 3 | 3.166 | 57.8 |
| 2 0 2 | 2.875 | 55.2 |
| 4 0 0 | 1.697 | 54.9 |
| 0 1 -2 | 4.099 | 45.7 |
| 1 0 -3 | 3.151 | 45.7 |

Structural model:
```
data_YMo3Se2ClO8
_chemical_formula_sum 'Y2 Mo6 Se4 Cl2 O16'
_cell_length_a 6.7925
_cell_length_b 7.0993
_cell_length_c 10.7453
_cell_angle_alpha 84.99
_cell_angle_beta 89.53
_cell_angle_gamma 88.62
_symmetry_space_group_name_H-M 'P 1'
_symmetry_Int_Tables_number 1
_symmetry_space_group_name_Hall 'P 1'
loop_
_atom_site_label
_atom_site_fract_x
_atom_site_fract_y
_atom_site_fract_z
Y1 0.0000 0.0000 0.0000
Y2 0.4991 0.4745 0.5183
Mo1 0.0314 0.4886 0.0160
Mo2 0.2529 0.7356 0.2529
Mo3 0.2674 0.7430 0.7525
Mo4 0.5273 0.9820 0.4868
Mo5 0.7493 0.7274 0.2526
Mo6 0.7688 0.7411 0.7553
Se1 0.0153 0.3266 0.6979
Se2 0.0222 0.3649 0.4060
Se3 0.4735 0.1015 0.1043
Se4 0.5233 0.1550 0.8079
Cl1 0.5880 0.5226 0.1097
Cl2 0.8827 0.9369 0.4269
O1 0.0021 0.6977 0.1387
O2 0.0197 0.7272 0.8778
O3 0.1055 0.2416 0.0914
O4 0.1938 0.5534 0.4209
O5 0.2332 0.4605 0.6862
O6 0.3100 0.0244 0.8115
O7 0.3155 0.9062 0.0815
O8 0.3990 0.2027 0.4337
O9 0.5020 0.7688 0.3734
O10 0.5180 0.7574 0.6260
O11 0.5757 0.1736 0.6417
O12 0.7111 0.9917 0.8511
O13 0.7152 0.9723 0.1204
O14 0.7843 0.4914 0.3947
O15 0.8286 0.4924 0.6599
O16 0.9802 0.3077 0.8627
```